The following is a computed PXRD pattern of Rb2NdAgF6. It was derived from a cell relaxed with PBE, using a wavelength of 1.5418 Å.
Neutral-atom scattering factors, no anomalous dispersion.

The 8 most intense peaks (2θ from 15° to 90°), in order of rising 2θ:
hkl  Position (°2θ)  I/Imax
0 2 0  26.35  34
1 1 1  27.03  100
1 1 -3  27.24  67
2 2 -2  38.11  41
0 0 4  39.38  22
3 1 -1  47.62  18
3 1 -5  48.02  32
2 2 2  55.73  17

Atomic structure:
```
data_Rb2NdAgF6
_chemical_formula_sum 'Rb4 Nd2 Ag2 F12'
_cell_length_a 6.598
_cell_length_b 6.764
_cell_length_c 11.223
_cell_angle_alpha 90.00
_cell_angle_beta 125.37
_cell_angle_gamma 90.00
_symmetry_space_group_name_H-M 'P 1 21/c 1'
_symmetry_Int_Tables_number 14
loop_
_symmetry_equiv_pos_as_xyz
'x,y,z'
'-x,-y,-z'
'-x,y+1/2,-z+1/2'
'x,-y+1/2,z+1/2'
loop_
_atom_site_label
_atom_site_type_symbol
_atom_site_fract_x
_atom_site_fract_y
_atom_site_fract_z
Rb1 Rb 0.238 0.044 0.249
Nd1 Nd 0.500 0.000 0.000
Ag1 Ag 0.000 0.000 0.500
F1 F 0.180 0.193 0.959
F2 F 0.261 0.725 0.951
F3 F 0.344 0.034 0.758
```

The following is a computed PXRD pattern of Li7Nd3Ge4. It was derived from a cell relaxed with PBE, using a wavelength of 1.5418 Å.
Neutral-atom scattering factors, no anomalous dispersion.

The 8 most intense peaks (2θ from 15° to 90°), in order of rising 2θ:
hkl  Position (°2θ)  I/Imax
1 1 -1  22.19  57
3 1 -1  25.52  69
2 0 2  32.62  59
6 0 -2  32.98  37
3 1 1  33.43  63
5 1 -1  33.60  100
3 1 -3  37.69  100
0 2 0  39.56  51

Atomic structure:
```
data_Li7Nd3Ge4
_chemical_formula_sum 'Li14 Nd6 Ge8'
_cell_length_a 16.566
_cell_length_b 4.556
_cell_length_c 8.407
_cell_angle_alpha 90.00
_cell_angle_beta 119.88
_cell_angle_gamma 90.00
_symmetry_space_group_name_H-M 'C 1 2/m 1'
_symmetry_Int_Tables_number 12
loop_
_symmetry_equiv_pos_as_xyz
'x,y,z'
'-x,-y,-z'
'-x,y,-z'
'x,-y,z'
'x+1/2,y+1/2,z'
'-x+1/2,-y+1/2,-z'
'-x+1/2,y+1/2,-z'
'x+1/2,-y+1/2,z'
loop_
_atom_site_label
_atom_site_type_symbol
_atom_site_fract_x
_atom_site_fract_y
_atom_site_fract_z
Li1 Li 0.000 0.000 0.000
Li2 Li 0.015 0.500 0.203
Li3 Li 0.143 0.000 0.950
Li4 Li 0.168 0.500 0.511
Nd1 Nd 0.000 0.000 0.500
Nd2 Nd 0.230 0.500 0.223
Ge1 Ge 0.133 0.000 0.322
Ge2 Ge 0.138 0.500 0.783
```

The following is a computed PXRD pattern of BaNi4Sn2. It was derived from a cell relaxed with PBE, using a wavelength of 1.5418 Å.
Neutral-atom scattering factors, no anomalous dispersion.

The 8 most intense peaks (2θ from 15° to 90°), in order of rising 2θ:
hkl  Position (°2θ)  I/Imax
2 1 1  27.16  16
1 1 2  27.65  25
2 2 0  31.26  14
2 0 2  31.85  45
3 1 0  35.07  98
2 1 3  42.78  100
3 3 2  53.46  19
5 2 3  72.64  27

Atomic structure:
```
data_BaNi4Sn2
_chemical_formula_sum 'Ba4 Ni16 Sn8'
_cell_length_a 8.092
_cell_length_b 8.092
_cell_length_c 7.812
_cell_angle_alpha 90.00
_cell_angle_beta 90.00
_cell_angle_gamma 90.00
_symmetry_space_group_name_H-M 'I 4/m c m'
_symmetry_Int_Tables_number 140
_symmetry_space_group_name_Hall '-I 4 2c'
loop_
_atom_site_label
_atom_site_type_symbol
_atom_site_fract_x
_atom_site_fract_y
_atom_site_fract_z
Ba1 Ba 0.000 0.000 0.250
Ni1 Ni 0.130 0.370 0.159
Sn1 Sn 0.163 0.337 0.500
```

The following is a computed PXRD pattern of Ti2Nb3Pd2. It was derived from a cell relaxed with PBE, using a wavelength of 1.5418 Å.
Neutral-atom scattering factors, no anomalous dispersion.

The 8 most intense peaks (2θ from 15° to 90°), in order of rising 2θ:
hkl  Position (°2θ)  I/Imax
0 1 2  24.23  11
1 1 0  39.32  100
1 0 7  39.68  96
0 2 7  57.10  32
3 0 0  71.29  16
2 1 7  71.53  32
0 1 14  72.26  15
2 2 0  84.58  10

Atomic structure:
```
data_Ti2Nb3Pd2
_chemical_formula_sum 'Ti6 Nb9 Pd6'
_cell_length_a 4.5827
_cell_length_b 4.5827
_cell_length_c 19.3869
_cell_angle_alpha 90.00
_cell_angle_beta 90.00
_cell_angle_gamma 120.00
_symmetry_space_group_name_H-M 'R -3 m'
_symmetry_Int_Tables_number 166
_symmetry_space_group_name_Hall '-R 3 2"'
loop_
_atom_site_label
_atom_site_type_symbol
_atom_site_fract_x
_atom_site_fract_y
_atom_site_fract_z
Ti1 Ti 0.0000 0.0000 0.2131
Nb1 Nb 0.0000 0.0000 0.3604
Nb2 Nb 0.0000 0.0000 0.5000
Pd1 Pd 0.0000 0.0000 0.0733
```

The following is a computed PXRD pattern of Zr3Cd2N. It was derived from a cell relaxed with PBE, using a wavelength of 1.5418 Å.
Neutral-atom scattering factors, no anomalous dispersion.

The 8 most intense peaks (2θ from 15° to 90°), in order of rising 2θ:
hkl  Position (°2θ)  I/Imax
2 2 1  35.47  100
3 1 0  37.46  56
3 1 1  39.36  20
3 2 1  44.66  14
4 3 1  62.37  26
5 1 1  63.69  7
5 2 0  66.30  25
4 4 2  75.07  9

Atomic structure:
```
data_Zr3Cd2N
_chemical_formula_sum 'Zr12 Cd8 N4'
_cell_length_a 7.592
_cell_length_b 7.592
_cell_length_c 7.592
_cell_angle_alpha 90.00
_cell_angle_beta 90.00
_cell_angle_gamma 90.00
_symmetry_space_group_name_H-M 'P 41 3 2'
_symmetry_Int_Tables_number 213
_symmetry_space_group_name_Hall 'P 4bd 2ab 3'
loop_
_atom_site_label
_atom_site_type_symbol
_atom_site_fract_x
_atom_site_fract_y
_atom_site_fract_z
Zr1 Zr 0.039 0.125 0.789
Cd1 Cd 0.070 0.930 0.430
N1 N 0.125 0.375 0.625
```

The following is a computed PXRD pattern of RbTlF. It was derived from a cell relaxed with PBE, using a wavelength of 1.5418 Å.
Neutral-atom scattering factors, no anomalous dispersion.

The 8 most intense peaks (2θ from 15° to 90°), in order of rising 2θ:
hkl  Position (°2θ)  I/Imax
0 1 2  27.78  92
1 0 2  28.07  90
1 1 0  32.14  100
0 0 4  32.77  26
0 1 3  33.38  25
2 0 0  46.53  59
1 2 2  54.50  29
2 1 2  55.01  29

Atomic structure:
```
data_RbTlF
_chemical_formula_sum 'Rb2 Tl2 F2'
_cell_length_a 3.908
_cell_length_b 3.970
_cell_length_c 10.931
_cell_angle_alpha 90.00
_cell_angle_beta 90.00
_cell_angle_gamma 90.00
_symmetry_space_group_name_H-M 'P m m n'
_symmetry_Int_Tables_number 59
loop_
_symmetry_equiv_pos_as_xyz
'x,y,z'
'-x,-y,-z'
'-x+1/2,-y+1/2,z'
'x+1/2,y+1/2,-z'
'x+1/2,-y,-z'
'-x+1/2,y,z'
'-x,y+1/2,-z'
'x,-y+1/2,z'
loop_
_atom_site_label
_atom_site_type_symbol
_atom_site_fract_x
_atom_site_fract_y
_atom_site_fract_z
Rb1 Rb 0.250 0.250 0.134
Tl1 Tl 0.250 0.250 0.588
F1 F 0.250 0.250 0.872
```

The following is a computed PXRD pattern of ScCr2Pb2. It was derived from a cell relaxed with PBE, using a wavelength of 1.5418 Å.
Neutral-atom scattering factors, no anomalous dispersion.

The 8 most intense peaks (2θ from 15° to 90°), in order of rising 2θ:
hkl  Position (°2θ)  I/Imax
0 0 2  20.24  39
1 1 0  25.78  25
1 1 2  32.99  100
2 0 0  36.78  51
2 0 2  42.34  25
1 1 4  49.20  30
2 2 0  53.00  18
3 1 2  63.86  30

Atomic structure:
```
data_ScCr2Pb2
_chemical_formula_sum 'Sc2 Cr4 Pb4'
_cell_length_a 4.887
_cell_length_b 4.887
_cell_length_c 8.775
_cell_angle_alpha 90.00
_cell_angle_beta 90.00
_cell_angle_gamma 90.00
_symmetry_space_group_name_H-M 'I 4/m m m'
_symmetry_Int_Tables_number 139
_symmetry_space_group_name_Hall '-I 4 2'
loop_
_atom_site_label
_atom_site_type_symbol
_atom_site_fract_x
_atom_site_fract_y
_atom_site_fract_z
Sc1 Sc 0.000 0.000 0.000
Cr1 Cr 0.000 0.000 0.396
Pb1 Pb 0.000 0.500 0.250
```

The following is a computed PXRD pattern of TbDy5Y4. It was derived from a cell relaxed with PBE, using a wavelength of 1.5418 Å.
Neutral-atom scattering factors, no anomalous dispersion.

The 8 most intense peaks (2θ from 15° to 90°), in order of rising 2θ:
hkl  Position (°2θ)  I/Imax
0 2 0  28.24  35
1 1 2  30.02  39
3 1 0  30.14  41
0 0 3  31.12  49
4 0 -1  31.37  61
3 1 -3  31.80  100
2 2 -2  34.16  40
2 2 1  37.87  50

Atomic structure:
```
data_TbDy5Y4
_chemical_formula_sum 'Tb2 Dy10 Y8'
_cell_length_a 11.820
_cell_length_b 6.320
_cell_length_c 10.121
_cell_angle_alpha 90.00
_cell_angle_beta 121.58
_cell_angle_gamma 90.00
_symmetry_space_group_name_H-M 'C 1 2 1'
_symmetry_Int_Tables_number 5
loop_
_symmetry_equiv_pos_as_xyz
'x,y,z'
'-x,y,-z'
'x+1/2,y+1/2,z'
'-x+1/2,y+1/2,-z'
loop_
_atom_site_label
_atom_site_type_symbol
_atom_site_fract_x
_atom_site_fract_y
_atom_site_fract_z
Tb1 Tb 0.000 0.000 0.000
Dy1 Dy 0.000 0.451 0.000
Dy2 Dy 0.122 0.726 0.316
Dy3 Dy 0.241 0.225 0.927
Y1 Y 0.059 0.226 0.388
Y2 Y 0.178 0.726 0.688
```